[1]
Structure and theoretical powder diffractogram of CuSbO4 (a GGA-PBE-relaxed structure; Cu Kα X-rays).
Intensities are scaled so that the largest is 100.

Most intense lines, 2θ = 10–90°, most intense first:
- 23.1 deg, I 100.0
- 32.5 deg, I 97.8
- 25.0 deg, I 91.1
- 28.8 deg, I 75.3
- 22.7 deg, I 69.6
- 29.2 deg, I 59.3
- 24.8 deg, I 55.9
- 19.6 deg, I 53.1
- 30.7 deg, I 45.8
- 18.3 deg, I 40.6

Crystal structure
a b c (Å): 6.8565 9.0454 11.0342
angles (deg): 90.00 91.34 90.00
Element x y z (fractional)
1 Cu 0.1186 0.0379 0.3734
2 Cu 0.1186 0.4621 0.8734
3 Cu 0.3385 0.6152 0.3910
4 Cu 0.3385 0.8848 0.8910
5 Cu 0.6615 0.1152 0.1090
6 Cu 0.6615 0.3848 0.6090
7 Cu 0.8814 0.5379 0.1266
8 Cu 0.8814 0.9621 0.6266
9 Sb 0.0784 0.6235 0.6053
10 Sb 0.0784 0.8765 0.1053
11 Sb 0.3907 0.0786 0.6197
12 Sb 0.3907 0.4214 0.1197
13 Sb 0.6093 0.5786 0.8803
14 Sb 0.6093 0.9214 0.3803
15 Sb 0.9216 0.1235 0.8947
16 Sb 0.9216 0.3765 0.3947
17 O 0.0702 0.5695 0.4114
18 O 0.0702 0.9305 0.9114
19 O 0.1309 0.2397 0.4029
20 O 0.1309 0.2603 0.9029
21 O 0.1393 0.5152 0.0846
22 O 0.1393 0.9848 0.5846
23 O 0.1610 0.6254 0.7762
24 O 0.1610 0.8746 0.2762
25 O 0.3282 0.6905 0.5449
26 O 0.3282 0.8095 0.0449
27 O 0.3882 0.0560 0.4225
28 O 0.3882 0.4440 0.9225
29 O 0.3896 0.0402 0.7914
30 O 0.3896 0.4598 0.2914
31 O 0.4239 0.2093 0.1349
32 O 0.4239 0.2907 0.6349
33 O 0.5761 0.7093 0.3651
34 O 0.5761 0.7907 0.8651
35 O 0.6104 0.5402 0.7086
36 O 0.6104 0.9598 0.2086
37 O 0.6118 0.5560 0.0775
38 O 0.6118 0.9440 0.5775
39 O 0.6718 0.1905 0.9551
40 O 0.6718 0.3095 0.4551
41 O 0.8390 0.1254 0.7238
42 O 0.8390 0.3746 0.2238
43 O 0.8607 0.0152 0.4154
44 O 0.8607 0.4848 0.9154
45 O 0.8691 0.7397 0.0971
46 O 0.8691 0.7603 0.5971
47 O 0.9298 0.0695 0.0886
48 O 0.9298 0.4305 0.5886

---

[2]
Structure and theoretical powder diffractogram of MgSn2O4 (a GGA-PBE-relaxed structure; Cu Kα X-rays).
Intensities are scaled so that the largest is 100.

Most intense lines, 2θ = 10–90°, most intense first:
- 16.6 deg, I 100.0
- 39.0 deg, I 69.7
- 16.3 deg, I 67.2
- 55.5 deg, I 62.0
- 32.3 deg, I 60.5
- 31.7 deg, I 59.6
- 32.9 deg, I 48.0
- 33.6 deg, I 39.2
- 37.9 deg, I 36.3
- 31.3 deg, I 28.4

Crystal structure
a b c (Å): 6.6303 6.6303 6.6303
angles (deg): 121.94 119.80 88.51
Element x y z (fractional)
1 Mg 0.3963 0.1463 0.2500
2 Mg 0.6037 0.8537 0.7500
3 Sn 0.0000 0.0000 0.5000
4 Sn 0.0000 0.5000 0.0000
5 Sn 0.0000 0.5000 0.5000
6 Sn 0.5000 0.5000 0.0000
7 O 0.2338 0.7178 0.5160
8 O 0.2581 0.2797 0.5216
9 O 0.2581 0.7365 0.9784
10 O 0.2982 0.2822 0.0160
11 O 0.7018 0.7178 0.9840
12 O 0.7419 0.2635 0.0216
13 O 0.7419 0.7203 0.4784
14 O 0.7662 0.2822 0.4840

---

[3]
Structure and theoretical powder diffractogram of CdHC2N4O4 (a GGA-PBE-relaxed structure; Cu Kα X-rays).
Intensities are scaled so that the largest is 100.

Most intense lines, 2θ = 10–90°, most intense first:
- 14.2 deg, I 100.0
- 28.7 deg, I 61.9
- 11.1 deg, I 28.1
- 21.2 deg, I 22.8
- 34.8 deg, I 20.5
- 22.2 deg, I 17.3
- 22.6 deg, I 17.2
- 32.9 deg, I 16.8
- 26.2 deg, I 15.9
- 31.4 deg, I 15.4

Crystal structure
a b c (Å): 9.0652 15.9860 10.1270
angles (deg): 90.00 90.00 90.00
Element x y z (fractional)
1 Cd 0.0000 0.2205 0.2500
2 Cd 0.0000 0.7795 0.7500
3 Cd 0.5000 0.2795 0.7500
4 Cd 0.5000 0.7205 0.2500
5 H 0.0000 0.1263 0.7500
6 H 0.0000 0.8737 0.2500
7 H 0.5000 0.3737 0.2500
8 H 0.5000 0.6263 0.7500
9 C 0.1409 0.3307 0.0027
10 C 0.1409 0.6693 0.5027
11 C 0.3591 0.1693 0.5027
12 C 0.3591 0.8307 0.0027
13 C 0.6409 0.1693 0.9973
14 C 0.6409 0.8307 0.4973
15 C 0.8591 0.3307 0.4973
16 C 0.8591 0.6693 0.9973
17 N 0.1920 0.0435 0.1804
18 N 0.1920 0.9565 0.6804
19 N 0.2118 0.4637 0.7482
20 N 0.2118 0.5363 0.2482
21 N 0.2882 0.0363 0.2482
22 N 0.2882 0.9637 0.7482
23 N 0.3080 0.4565 0.6804
24 N 0.3080 0.5435 0.1804
25 N 0.6920 0.4565 0.8196
26 N 0.6920 0.5435 0.3196
27 N 0.7118 0.0363 0.2518
28 N 0.7118 0.9637 0.7518
29 N 0.7882 0.4637 0.7518
30 N 0.7882 0.5363 0.2518
31 N 0.8080 0.0435 0.3196
32 N 0.8080 0.9565 0.8196
33 O 0.0794 0.3912 0.0395
34 O 0.0794 0.6088 0.5395
35 O 0.2046 0.2717 0.9620
36 O 0.2046 0.7283 0.4620
37 O 0.2954 0.2283 0.4620
38 O 0.2954 0.7717 0.9620
39 O 0.4206 0.1088 0.5395
40 O 0.4206 0.8912 0.0395
41 O 0.5794 0.1088 0.9605
42 O 0.5794 0.8912 0.4605
43 O 0.7046 0.2283 0.0380
44 O 0.7046 0.7717 0.5380
45 O 0.7954 0.2717 0.5380
46 O 0.7954 0.7283 0.0380
47 O 0.9206 0.3912 0.4605
48 O 0.9206 0.6088 0.9605

---

[4]
Structure and theoretical powder diffractogram of MgMo2WSe4S2 (a GGA-PBE-relaxed structure; Cu Kα X-rays).
Intensities are scaled so that the largest is 100.

Most intense lines, 2θ = 10–90°, most intense first:
- 11.7 deg, I 100.0
- 38.0 deg, I 37.5
- 46.0 deg, I 32.5
- 36.3 deg, I 32.5
- 56.2 deg, I 19.7
- 31.5 deg, I 19.3
- 43.8 deg, I 13.7
- 41.7 deg, I 13.6
- 32.1 deg, I 13.1
- 14.7 deg, I 12.4

Crystal structure
a b c (Å): 3.2765 3.2765 30.1949
angles (deg): 90.00 90.00 60.00
Element x y z (fractional)
1 Mg 0.0000 0.0000 0.0000
2 Mo 0.3333 0.3125 0.2656
3 Mo 0.6667 0.6459 0.4970
4 W 0.3333 0.3125 0.7283
5 Se 0.6666 0.6458 0.2097
6 Se 0.6666 0.6458 0.3216
7 Se 0.6666 0.6458 0.6721
8 Se 0.6666 0.6458 0.7846
9 S 0.3334 0.3125 0.4461
10 S 0.3334 0.3125 0.5478

---

[5]
Structure and theoretical powder diffractogram of GdAlO3 (a GGA-PBE-relaxed structure; Cu Kα X-rays).
Intensities are scaled so that the largest is 100.

Most intense lines, 2θ = 10–90°, most intense first:
- 33.9 deg, I 100.0
- 23.8 deg, I 53.5
- 41.9 deg, I 42.1
- 60.7 deg, I 38.9
- 48.8 deg, I 33.8
- 55.0 deg, I 24.4
- 71.4 deg, I 20.0
- 81.5 deg, I 17.3
- 86.4 deg, I 13.8
- 76.5 deg, I 12.0

Crystal structure
a b c (Å): 3.7353 3.7353 3.7353
angles (deg): 90.00 90.00 90.00
Element x y z (fractional)
1 Gd 0.0000 0.0000 0.0000
2 Al 0.5000 0.5000 0.5000
3 O 0.0000 0.5000 0.5000
4 O 0.5000 0.0000 0.5000
5 O 0.5000 0.5000 0.0000